Entry 1:
Starting from a cell relaxed with PBE, the XRD peak list of TlInGa2Cl8 was computed for λ = 1.5418 Å (Cu Kα).
No peak broadening, texture or thermal motion is included.

Atomic structure:
```
TlInGa2Cl8
1.0
6.677 0.000 0.000
-3.338 5.782 0.000
0.000 0.000 10.601
Tl In Ga Cl
1 1 2 8
Direct
0.000 0.000 0.000
0.000 0.000 0.500
0.333 0.667 0.786
0.667 0.333 0.214
0.028 0.346 0.720
0.318 0.972 0.720
0.333 0.667 0.993
0.346 0.318 0.280
0.654 0.682 0.720
0.667 0.333 0.007
0.682 0.028 0.280
0.972 0.654 0.280
```

Largest 10 diffraction maxima, by intensity, 2θ = 5–70°:
- 22.76°, I = 100.0
- 26.70°, I = 51.2
- 31.67°, I = 47.0
- 15.32°, I = 41.8
- 28.02°, I = 38.6
- 35.36°, I = 34.8
- 17.47°, I = 34.6
- 44.86°, I = 34.4
- 47.15°, I = 30.5
- 8.34°, I = 27.4

=====

Entry 2:
Starting from a cell relaxed with PBE, the XRD peak list of ZrIn2GaCl6 was computed for λ = 1.5418 Å (Cu Kα).
No peak broadening, texture or thermal motion is included.

Atomic structure:
```
ZrIn2GaCl6
1.0
6.408 -3.537 0.000
6.408 3.537 0.000
-1.149 0.000 6.469
Zr In Ga Cl
1 2 1 6
Direct
0.000 0.000 0.000
0.305 0.305 0.756
0.695 0.695 0.244
0.500 0.500 0.500
0.139 0.139 0.317
0.139 0.648 0.155
0.352 0.861 0.845
0.648 0.139 0.155
0.861 0.352 0.845
0.861 0.861 0.683
```

Largest 10 diffraction maxima, by intensity, 2θ = 5–70°:
- 20.73°, I = 100.0
- 33.25°, I = 73.6
- 26.37°, I = 69.3
- 38.57°, I = 41.6
- 31.03°, I = 39.9
- 25.18°, I = 33.4
- 43.24°, I = 25.3
- 29.25°, I = 23.4
- 42.57°, I = 20.8
- 43.39°, I = 19.6